No. 1
Starting from a cell relaxed with GGA-PBE, the XRD peak list of BaSrLiHg2 was simulated for copper Kα.

Peak list (12 most intense, 2θ = 5–70°, by intensity)
23.89°, I 100, hkl 0 1 1
35.05°, I 64, hkl 1 0 3
28.54°, I 60, hkl 0 1 2
38.84°, I 46, hkl 1 1 0
54.01°, I 22, hkl 1 1 4
53.30°, I 19, hkl 0 2 3
67.88°, I 19, hkl 2 1 3
46.11°, I 18, hkl 2 0 1
61.82°, I 15, hkl 1 2 1
48.90°, I 14, hkl 2 0 2
64.13°, I 12, hkl 1 2 2
8.87°, I 12, hkl 0 0 1

Structure:
Unit cell a=4.6377 b=4.6377 c=9.9697 alpha=90.00 beta=90.00 gamma=120.00
Space group P3m1 (No. 156)
Asymmetric unit:
Ba (0.0000, 0.0000, 0.0000) [1 per cell]
Sr (0.6667, 0.3333, 0.4299) [1 per cell]
Li (0.3333, 0.6667, 0.6923) [1 per cell]
Hg (0.3333, 0.6667, 0.2314) [1 per cell]
Hg (0.6667, 0.3333, 0.7665) [1 per cell]

---

No. 2
Starting from a cell relaxed with GGA-PBE, the XRD peak list of Na4Al3Si3ClO12 was simulated for copper Kα.

Peak list (12 most intense, 2θ = 5–70°, by intensity)
24.28°, I 100, hkl 3 1 -1
24.39°, I 53, hkl 1 1 -2
13.96°, I 47, hkl 1 1 0
42.67°, I 27, hkl 3 3 0
34.66°, I 27, hkl 0 2 2
37.46°, I 17, hkl 2 2 1
37.58°, I 11, hkl 3 3 -2
42.84°, I 11, hkl 0 0 3
58.28°, I 10, hkl 4 4 -4
31.48°, I 9, hkl 4 0 -1
42.95°, I 8, hkl 6 0 -3
37.67°, I 8, hkl 4 2 -3

Structure:
Unit cell a=12.6481 b=8.9906 c=8.9139 alpha=90.00 beta=134.68 gamma=90.00
Space group C2 (No. 5)
Asymmetric unit:
Na (0.1747, 0.0000, 0.4992) [4 per cell]
Na (0.1779, 0.6441, 0.8514) [4 per cell]
Al (0.0000, 0.5708, 0.0000) [2 per cell]
Al (0.2493, 0.3210, 0.7582) [4 per cell]
Si (0.0000, 0.0758, 0.0000) [2 per cell]
Si (0.0097, 0.3235, 0.2581) [4 per cell]
Cl (0.0000, 0.8217, 0.5000) [2 per cell]
O (0.0518, 0.1809, 0.9079) [4 per cell]
O (0.0753, 0.4544, 0.2174) [4 per cell]
O (0.1319, 0.3847, 0.7872) [4 per cell]
O (0.1437, 0.2592, 0.4967) [4 per cell]
O (0.1454, 0.6747, 0.0706) [4 per cell]
O (0.1450, 0.9795, 0.1947) [4 per cell]

---

No. 3
Starting from a cell relaxed with GGA-PBE, the XRD peak list of AgGe2TeSe2 was simulated for copper Kα.

Peak list (12 most intense, 2θ = 5–70°, by intensity)
41.76°, I 100, hkl 3 1 3
27.61°, I 76, hkl 3 1 1
21.59°, I 72, hkl 0 0 2
25.35°, I 68, hkl 3 1 0
27.88°, I 41, hkl 0 2 1
41.95°, I 40, hkl 0 2 3
46.44°, I 37, hkl 3 3 1
45.04°, I 33, hkl 3 3 0
44.50°, I 30, hkl 6 0 0
33.53°, I 29, hkl 3 1 2
25.65°, I 28, hkl 0 2 0
62.81°, I 21, hkl 6 2 3

Structure:
Unit cell a=12.2152 b=6.9472 c=8.2340 alpha=90.00 beta=90.00 gamma=90.00
Space group Cmc2_1 (No. 36)
Asymmetric unit:
Ag (0.0000, 0.2159, 0.0000) [4 per cell]
Ge (0.1693, 0.2998, 0.4799) [8 per cell]
Te (0.0000, 0.1469, 0.6595) [4 per cell]
Se (0.1815, 0.3840, 0.1270) [8 per cell]

---

No. 4
Starting from a cell relaxed with GGA-PBE, the XRD peak list of La3Al2Pd9Pb was simulated for copper Kα.

Peak list (12 most intense, 2θ = 5–70°, by intensity)
39.02°, I 100, hkl 2 0 2
36.69°, I 60, hkl 0 2 1
22.32°, I 36, hkl 0 0 3
47.39°, I 28, hkl 0 2 4
23.18°, I 27, hkl 1 0 2
19.23°, I 26, hkl 0 1 1
29.91°, I 24, hkl 0 0 4
64.50°, I 23, hkl 2 2 0
42.67°, I 14, hkl 0 2 3
38.49°, I 14, hkl 1 1 3
41.89°, I 12, hkl 0 1 5
59.31°, I 12, hkl 2 0 6

Structure:
Unit cell a=5.7792 b=5.7792 c=11.9482 alpha=90.00 beta=90.00 gamma=120.00
Space group P-3m1 (No. 164)
Asymmetric unit:
La (0.0000, 0.0000, 0.0000) [1 per cell]
La (0.3333, 0.6667, 0.7484) [2 per cell]
Al (0.3333, 0.6667, 0.1584) [2 per cell]
Pd (0.0000, 0.5000, 0.0000) [3 per cell]
Pd (0.1641, 0.3283, 0.3091) [6 per cell]
Pb (0.0000, 0.0000, 0.5000) [1 per cell]

---

No. 5
Starting from a cell relaxed with GGA-PBE, the XRD peak list of Rb3Li2CuF6 was simulated for copper Kα.

Peak list (12 most intense, 2θ = 5–70°, by intensity)
29.23°, I 100, hkl 1 1 0
30.18°, I 93, hkl 0 1 2
42.51°, I 74, hkl 2 0 2
36.20°, I 65, hkl 0 2 1
20.89°, I 50, hkl 1 0 1
12.38°, I 39, hkl 0 0 1
52.43°, I 38, hkl 1 2 2
16.76°, I 29, hkl 1 0 0
60.62°, I 26, hkl 2 2 0
54.18°, I 21, hkl 1 0 4
51.84°, I 20, hkl 3 0 0
69.20°, I 17, hkl 3 1 2

Structure:
Unit cell a=6.1099 b=6.1099 c=7.1475 alpha=90.00 beta=90.00 gamma=120.00
Space group P-3m1 (No. 164)
Asymmetric unit:
Rb (0.0000, 0.0000, 0.0000) [1 per cell]
Rb (0.3333, 0.6667, 0.6513) [2 per cell]
Li (0.3333, 0.6667, 0.2455) [2 per cell]
Cu (0.0000, 0.0000, 0.5000) [1 per cell]
F (0.1691, 0.3383, 0.2943) [6 per cell]

---

No. 6
Starting from a cell relaxed with GGA-PBE, the XRD peak list of TbEr3In4 was simulated for copper Kα.

Peak list (12 most intense, 2θ = 5–70°, by intensity)
34.31°, I 100, hkl 2 2 1
33.46°, I 30, hkl 4 0 0
60.36°, I 19, hkl 6 2 1
32.81°, I 19, hkl 0 0 2
47.57°, I 13, hkl 4 0 2
33.89°, I 10, hkl 1 0 2
62.39°, I 10, hkl 4 4 0
51.01°, I 9, hkl 0 4 0
31.01°, I 8, hkl 1 2 1
59.54°, I 7, hkl 2 2 3
41.64°, I 7, hkl 3 0 2
57.45°, I 6, hkl 1 2 3

Structure:
Unit cell a=10.7121 b=7.1611 c=5.4596 alpha=90.00 beta=90.00 gamma=90.00
Space group Pmma (No. 51)
Asymmetric unit:
Tb (0.0000, 0.0000, 0.0000) [2 per cell]
Er (0.0000, 0.5000, 0.0000) [2 per cell]
Er (0.2500, 0.0000, 0.4274) [2 per cell]
Er (0.2500, 0.5000, 0.4228) [2 per cell]
In (0.0000, 0.2528, 0.5000) [4 per cell]
In (0.2500, 0.2526, 0.9161) [4 per cell]

---

No. 7
Starting from a cell relaxed with GGA-PBE, the XRD peak list of K2HgI2F2 was simulated for copper Kα.

Peak list (12 most intense, 2θ = 5–70°, by intensity)
18.69°, I 100, hkl 1 0 1
25.54°, I 85, hkl 1 1 0
31.37°, I 56, hkl 1 0 5
36.43°, I 45, hkl 2 0 0
10.13°, I 34, hkl 0 0 2
40.50°, I 33, hkl 1 0 7
48.82°, I 32, hkl 2 1 5
41.25°, I 30, hkl 2 1 1
55.60°, I 26, hkl 2 1 7
40.35°, I 24, hkl 1 1 6
48.36°, I 21, hkl 2 0 6
30.70°, I 19, hkl 0 0 6

Structure:
Unit cell a=4.9329 b=4.9329 c=17.4720 alpha=90.00 beta=90.00 gamma=90.00
Space group I4/mmm (No. 139)
Asymmetric unit:
K (0.0000, 0.0000, 0.0989) [4 per cell]
Hg (0.0000, 0.0000, 0.5000) [2 per cell]
I (0.0000, 0.0000, 0.3390) [4 per cell]
F (0.0000, 0.5000, 0.0000) [4 per cell]

---

No. 8
Starting from a cell relaxed with GGA-PBE, the XRD peak list of Th6Mn3Se14 was simulated for copper Kα.

Peak list (12 most intense, 2θ = 5–70°, by intensity)
35.65°, I 100, hkl 2 0 2
34.22°, I 90, hkl 2 2 0
24.51°, I 84, hkl 0 2 1
33.10°, I 59, hkl 3 0 1
39.70°, I 54, hkl 1 2 2
38.74°, I 52, hkl 3 1 1
17.60°, I 46, hkl 0 1 1
48.35°, I 40, hkl 1 4 1
46.10°, I 29, hkl 5 -3 1
29.94°, I 28, hkl 3 -1 1
69.70°, I 27, hkl 7 -1 1
19.57°, I 26, hkl 2 0 0

Structure:
Unit cell a=10.4774 b=10.4774 c=6.0589 alpha=90.00 beta=90.00 gamma=120.00
Space group P3 (No. 143)
Asymmetric unit:
Th (0.0355, 0.5586, 0.0000) [3 per cell]
Th (0.2964, 0.1066, 0.5003) [3 per cell]
Mn (0.0000, 0.0000, 0.8857) [1 per cell]
Mn (0.3333, 0.6667, 0.3949) [1 per cell]
Mn (0.6667, 0.3333, 0.2742) [1 per cell]
Se (0.0000, 0.0000, 0.2919) [1 per cell]
Se (0.0955, 0.8423, 0.7520) [3 per cell]
Se (0.1775, 0.4154, 0.2502) [3 per cell]
Se (0.3333, 0.6667, 0.7958) [1 per cell]
Se (0.4177, 0.1838, 0.0222) [3 per cell]
Se (0.5144, 0.4318, 0.5047) [3 per cell]